Theoretical X-ray powder pattern
Compound: ZnNiP2O7
Radiation: copper Kα
Structure: a cell relaxed with GGA+U
Lines closer than 0.1° are merged.

Main lines, most intense first (15 to 90 degrees two-theta):
(hkl)	two_theta	I_rel
1 2 -2	29.47	100
1 0 2	29.70	46
2 3 -2	42.66	23
1 3 0	34.96	20
2 2 0	35.08	16
3 3 -4	58.14	15
4 0 -4	56.67	14
1 1 3	41.48	12
1 0 -2	20.24	11
1 1 0	17.33	10

Structure:
Lattice parameters (Å, degrees): 7.0261 8.3886 9.0980 90.00 113.27 90.00
Space group P2_1/c (No. 14)
Asymmetric unit:
Zn 0.1952 0.0578 0.3179
Ni 0.2702 0.0740 0.8903
P 0.0308 0.7278 0.9685
P 0.4399 0.7324 0.2596
O 0.0203 0.0917 0.6549
O 0.0557 0.6095 0.3997
O 0.1263 0.2374 0.4521
O 0.2476 0.6730 0.1012
O 0.3807 0.2415 0.2974
O 0.3916 0.6102 0.8167
O 0.4758 0.5949 0.3801


Theoretical X-ray powder pattern
Compound: LiVPO5
Radiation: copper Kα
Structure: a cell relaxed with GGA+U
Lines closer than 0.1° are merged.

Main lines, most intense first (15 to 90 degrees two-theta):
(hkl)	two_theta	I_rel
2 0 0	29.11	100
1 2 1	27.31	93
1 0 -1	18.42	89
1 2 -1	27.49	67
1 1 -1	18.78	38
1 0 1	17.96	37
1 0 3	36.24	36
0 0 2	22.12	29
0 1 -2	26.09	28
0 1 2	26.22	26

Structure:
Lattice parameters (Å, degrees): 6.8319 7.1514 8.0407 89.64 88.50 63.93
Space group P-1 (No. 2)
Asymmetric unit:
Li 0.2081 0.3134 0.4274
Li 0.2855 0.8010 0.0792
V 0.2525 0.5226 0.7649
V 0.2561 0.0189 0.7375
P 0.2402 0.7440 0.4140
P 0.2632 0.2494 0.0876
O 0.0570 0.4122 0.1787
O 0.0697 0.8758 0.2852
O 0.1486 0.6191 0.5273
O 0.2170 0.0904 0.9861
O 0.2353 0.7566 0.8325
O 0.2577 0.2486 0.6744
O 0.3113 0.8802 0.5206
O 0.3679 0.3572 0.9710
O 0.4184 0.1396 0.2323
O 0.4349 0.5931 0.3062


Theoretical X-ray powder pattern
Compound: Fe5O7F3
Radiation: copper Kα
Structure: a cell relaxed with GGA+U
Lines closer than 0.1° are merged.

Main lines, most intense first (15 to 90 degrees two-theta):
(hkl)	two_theta	I_rel
1 1 5	35.13	100
2 0 0	26.67	93
0 2 0	27.39	92
3 1 5	52.77	55
1 3 5	53.59	53
3 3 -5	67.56	24
3 3 5	67.65	19
2 2 0	38.60	17
0 0 10	60.67	16
4 0 0	54.94	15

Structure:
Lattice parameters (Å, degrees): 6.6851 6.5121 15.2632 90.00 90.10 90.00
Space group C2 (No. 5)
Asymmetric unit:
Fe 0.0000 0.0000 0.0000
Fe 0.0000 0.4872 0.5000
Fe 0.0061 0.4661 0.0955
Fe 0.0141 0.4902 0.2992
Fe 0.0213 0.9875 0.5989
Fe 0.0237 0.9942 0.7938
O 0.0000 0.1819 0.5000
O 0.0000 0.7940 0.5000
O 0.0060 0.1701 0.8961
O 0.0079 0.1860 0.6953
O 0.0077 0.7940 0.6981
O 0.1826 0.4894 0.4038
O 0.1838 0.4832 0.1979
O 0.1990 0.4784 0.9980
F 0.0034 0.7829 0.8979
F 0.2024 0.4884 0.6015
F 0.2036 0.4850 0.8001


Repeat the first record exactly.
Theoretical X-ray powder pattern
Compound: ZnNiP2O7
Radiation: copper Kα
Structure: a cell relaxed with GGA+U
Lines closer than 0.1° are merged.

Main lines, most intense first (15 to 90 degrees two-theta):
(hkl)	two_theta	I_rel
1 2 -2	29.47	100
1 0 2	29.70	46
2 3 -2	42.66	23
1 3 0	34.96	20
2 2 0	35.08	16
3 3 -4	58.14	15
4 0 -4	56.67	14
1 1 3	41.48	12
1 0 -2	20.24	11
1 1 0	17.33	10

Structure:
Lattice parameters (Å, degrees): 7.0261 8.3886 9.0980 90.00 113.27 90.00
Space group P2_1/c (No. 14)
Asymmetric unit:
Zn 0.1952 0.0578 0.3179
Ni 0.2702 0.0740 0.8903
P 0.0308 0.7278 0.9685
P 0.4399 0.7324 0.2596
O 0.0203 0.0917 0.6549
O 0.0557 0.6095 0.3997
O 0.1263 0.2374 0.4521
O 0.2476 0.6730 0.1012
O 0.3807 0.2415 0.2974
O 0.3916 0.6102 0.8167
O 0.4758 0.5949 0.3801